The following is a simulated powder XRD pattern of CoPdF5. It was derived from the GGA+U geometry in Alexandria, using Cu Ka.

The 6 most intense peaks (2θ = 15–90°), by angle:
(hkl)	2θ (°)	Rel. int.
2 0 0	22.46	1000
0 2 0	27.22	699
1 1 -1	27.45	998
1 1 1	35.75	299
1 3 -1	48.24	333
4 2 0	54.17	412

Atomic structure:
```
data_CoPdF5
_cell_length_a 8.749
_cell_length_b 6.553
_cell_length_c 3.742
_cell_angle_alpha 90.00
_cell_angle_beta 115.19
_cell_angle_gamma 90.00
_symmetry_space_group_name_H-M 'C 1 2/m 1'
_symmetry_Int_Tables_number 12
_symmetry_space_group_name_Hall '-C 2y'
loop_
_atom_site_label
_atom_site_type_symbol
_atom_site_fract_x
_atom_site_fract_y
_atom_site_fract_z
_atom_site_occupancy
Co1 Co 0.000 0.000 0.000 1
Pd1 Pd 0.000 0.500 0.500 1
F1 F 0.000 0.000 0.500 1
F2 F 0.000 0.315 0.000 1
F3 F 0.250 0.000 0.221 1
```